(1)
# Ba2YMgCo3O8
Calculated X-ray powder pattern, copper Kα. Input: DFT lattice parameters and positions (GGA+U).
Neutral-atom scattering factors, no anomalous dispersion.

Principal peaks in the range 2θ = 15–90°, sorted by position:
| 2theta | d [Å] | intensity |
| --- | --- | --- |
| 23.76 | 3.746 | 170 |
| 32.41 | 2.762 | 960 |
| 32.79 | 2.731 | 919 |
| 33.48 | 2.677 | 1000 |
| 34.61 | 2.592 | 298 |
| 40.58 | 2.223 | 296 |
| 45.46 | 1.995 | 349 |
| 47.52 | 1.913 | 303 |
| 57.62 | 1.600 | 404 |
| 58.94 | 1.567 | 337 |
| 59.65 | 1.550 | 345 |
| 67.86 | 1.381 | 191 |

Atomic structure:
a = 3.8268 Å, b = 3.9908 Å, c = 14.9824 Å
α = 90.00°, β = 90.00°, γ = 90.00°
Element x y z (fractional)
Ba: 0.0000 0.0000 0.0000
Ba: 0.0000 0.0000 0.4898
Y: 0.0000 0.0000 0.2456
Mg: 0.0000 0.0000 0.7762
Co: 0.5000 0.5000 0.1215
Co: 0.5000 0.5000 0.3684
Co: 0.5000 0.5000 0.8449
O: 0.0000 0.5000 0.1436
O: 0.0000 0.5000 0.3309
O: 0.0000 0.5000 0.7822
O: 0.5000 0.0000 0.1453
O: 0.5000 0.0000 0.3418
O: 0.5000 0.0000 0.8191
O: 0.5000 0.5000 0.4989
O: 0.5000 0.5000 0.9734

=====

(2)
# CaHoNi2O6
Calculated X-ray powder pattern, copper Kα. Input: DFT lattice parameters and positions (GGA+U).
Neutral-atom scattering factors, no anomalous dispersion.

Principal peaks in the range 2θ = 15–90°, sorted by position:
| 2theta | d [Å] | intensity |
| --- | --- | --- |
| 20.12 | 4.412 | 261 |
| 20.64 | 4.303 | 308 |
| 26.33 | 3.385 | 152 |
| 32.67 | 2.741 | 200 |
| 33.72 | 2.658 | 1000 |
| 33.98 | 2.638 | 254 |
| 39.81 | 2.264 | 123 |
| 47.86 | 1.901 | 228 |
| 49.00 | 1.859 | 156 |
| 49.53 | 1.840 | 149 |
| 54.57 | 1.682 | 131 |
| 60.65 | 1.527 | 227 |

Atomic structure:
a = 7.4364 Å, b = 5.4814 Å, c = 5.2759 Å
α = 90.00°, β = 90.00°, γ = 90.00°
Element x y z (fractional)
Ca: 0.0000 0.1914 0.0000
Ca: 0.5000 0.8086 0.5000
Ho: 0.0000 0.6829 0.5314
Ho: 0.5000 0.3171 0.0314
Ni: 0.2503 0.2452 0.5136
Ni: 0.2497 0.7548 0.0136
Ni: 0.7497 0.2452 0.5136
Ni: 0.7503 0.7548 0.0136
O: 0.0000 0.2820 0.4276
O: 0.0000 0.7733 0.1152
O: 0.2011 0.9482 0.7081
O: 0.2034 0.4620 0.8048
O: 0.2966 0.5380 0.3048
O: 0.2989 0.0518 0.2081
O: 0.5000 0.2267 0.6152
O: 0.5000 0.7180 0.9276
O: 0.7011 0.0518 0.2081
O: 0.7034 0.5380 0.3048
O: 0.7966 0.4620 0.8048
O: 0.7989 0.9482 0.7081

=====

(3)
# LiCoPO4
Calculated X-ray powder pattern, copper Kα. Input: DFT lattice parameters and positions (GGA+U).
Neutral-atom scattering factors, no anomalous dispersion.

Principal peaks in the range 2θ = 15–90°, sorted by position:
| 2theta | d [Å] | intensity |
| --- | --- | --- |
| 15.27 | 5.803 | 686 |
| 18.48 | 4.801 | 1000 |
| 20.11 | 4.416 | 837 |
| 22.18 | 4.009 | 467 |
| 23.56 | 3.776 | 988 |
| 24.44 | 3.642 | 861 |
| 28.60 | 3.121 | 364 |
| 30.45 | 2.936 | 527 |
| 31.85 | 2.810 | 553 |
| 35.56 | 2.525 | 940 |
| 35.83 | 2.506 | 601 |
| 53.61 | 1.709 | 420 |

Atomic structure:
a = 4.9726 Å, b = 9.6020 Å, c = 7.2838 Å
α = 90.00°, β = 90.06°, γ = 90.00°
Element x y z (fractional)
Li: 0.1031 0.0000 0.2343
Li: 0.3950 0.2808 0.7335
Li: 0.6050 0.7808 0.2665
Li: 0.8969 0.5000 0.7657
Co: 0.2083 0.8690 0.5842
Co: 0.2928 0.4182 0.0836
Co: 0.7072 0.9182 0.9164
Co: 0.7917 0.3690 0.4158
P: 0.1369 0.7423 0.9938
P: 0.3646 0.5436 0.4954
P: 0.6354 0.0436 0.5046
P: 0.8631 0.2423 0.0062
O: 0.0157 0.8046 0.8097
O: 0.0339 0.3084 0.8515
O: 0.0654 0.5038 0.5166
O: 0.1023 0.5825 0.9803
O: 0.4013 0.7034 0.4870
O: 0.4361 0.7823 0.0161
O: 0.4639 0.9740 0.3526
O: 0.4849 0.4852 0.3088
O: 0.5151 0.9852 0.6912
O: 0.5361 0.4740 0.6474
O: 0.5639 0.2823 0.9839
O: 0.5987 0.2034 0.5130
O: 0.8977 0.0825 0.0197
O: 0.9346 0.0038 0.4834
O: 0.9661 0.8084 0.1485
O: 0.9843 0.3046 0.1903

=====

(4)
# Li6CoNi9O20
Calculated X-ray powder pattern, copper Kα. Input: DFT lattice parameters and positions (GGA+U).
Neutral-atom scattering factors, no anomalous dispersion.

Principal peaks in the range 2θ = 15–90°, sorted by position:
| 2theta | d [Å] | intensity |
| --- | --- | --- |
| 18.21 | 4.872 | 1000 |
| 36.13 | 2.486 | 119 |
| 36.90 | 2.436 | 50 |
| 37.02 | 2.428 | 229 |
| 38.40 | 2.344 | 77 |
| 43.26 | 2.091 | 186 |
| 44.52 | 2.035 | 351 |
| 48.02 | 1.895 | 71 |
| 56.72 | 1.623 | 67 |
| 58.17 | 1.586 | 94 |
| 63.01 | 1.475 | 95 |
| 64.62 | 1.442 | 95 |

Atomic structure:
a = 11.5647 Å, b = 11.5647 Å, c = 11.7162 Å
α = 114.16°, β = 114.16°, γ = 14.06°
Element x y z (fractional)
Li: 0.0913 0.0913 0.4359
Li: 0.0981 0.0981 0.9484
Li: 0.2927 0.2927 0.3319
Li: 0.7073 0.7073 0.6681
Li: 0.9019 0.9019 0.0516
Li: 0.9087 0.9087 0.5641
Co: 0.5000 0.5000 0.0000
Ni: 0.0981 0.0981 0.7018
Ni: 0.0992 0.0992 0.2004
Ni: 0.2978 0.2978 0.1000
Ni: 0.2997 0.2997 0.5970
Ni: 0.5000 0.5000 0.5000
Ni: 0.7003 0.7003 0.4030
Ni: 0.7022 0.7022 0.9000
Ni: 0.9008 0.9008 0.7996
Ni: 0.9019 0.9019 0.2982
O: 0.0008 0.0008 0.1067
O: 0.0013 0.0013 0.6070
O: 0.1987 0.1987 0.7890
O: 0.2000 0.2000 0.2988
O: 0.2058 0.2058 0.0095
O: 0.2060 0.2060 0.5179
O: 0.3868 0.3868 0.1684
O: 0.3881 0.3881 0.6705
O: 0.4085 0.4085 0.4252
O: 0.4100 0.4100 0.9229
O: 0.5900 0.5900 0.0771
O: 0.5915 0.5915 0.5748
O: 0.6119 0.6119 0.3295
O: 0.6132 0.6132 0.8316
O: 0.7940 0.7940 0.4821
O: 0.7942 0.7942 0.9905
O: 0.8000 0.8000 0.7012
O: 0.8013 0.8013 0.2110
O: 0.9987 0.9987 0.3930
O: 0.9992 0.9992 0.8933

=====

(5)
# FeH2O2
Calculated X-ray powder pattern, copper Kα. Input: DFT lattice parameters and positions (GGA+U).
Neutral-atom scattering factors, no anomalous dispersion.

Principal peaks in the range 2θ = 15–90°, sorted by position:
| 2theta | d [Å] | intensity |
| --- | --- | --- |
| 18.89 | 4.698 | 1000 |
| 31.14 | 2.873 | 249 |
| 31.27 | 2.861 | 103 |
| 36.43 | 2.466 | 403 |
| 36.85 | 2.439 | 675 |
| 49.69 | 1.835 | 120 |
| 49.89 | 1.828 | 140 |
| 50.45 | 1.809 | 219 |
| 55.32 | 1.661 | 102 |
| 55.56 | 1.654 | 199 |
| 58.99 | 1.566 | 100 |
| 67.85 | 1.381 | 92 |

Atomic structure:
a = 3.3214 Å, b = 5.6971 Å, c = 10.0120 Å
α = 89.15°, β = 80.47°, γ = 73.06°
Element x y z (fractional)
Fe: 0.0000 0.0000 0.0000
Fe: 0.0014 0.4988 0.4997
Fe: 0.4984 0.7496 0.2496
Fe: 0.4994 0.2485 0.7495
H: 0.2154 0.3413 0.2312
H: 0.2152 0.8405 0.7317
H: 0.2883 0.4079 0.0178
H: 0.2887 0.9072 0.5181
H: 0.7152 0.0913 0.4812
H: 0.7145 0.5920 0.9814
H: 0.7886 0.1572 0.2681
H: 0.7892 0.6563 0.7679
O: 0.1094 0.4986 0.2809
O: 0.1095 0.9982 0.7811
O: 0.3900 0.2503 0.9684
O: 0.3910 0.7499 0.4683
O: 0.6091 0.7493 0.0312
O: 0.6104 0.2486 0.5310
O: 0.8897 0.9999 0.2184
O: 0.8906 0.4991 0.7182

=====

(6)
# VPPb3O8
Calculated X-ray powder pattern, copper Kα. Input: DFT lattice parameters and positions (GGA+U).
Neutral-atom scattering factors, no anomalous dispersion.

Principal peaks in the range 2θ = 15–90°, sorted by position:
| 2theta | d [Å] | intensity |
| --- | --- | --- |
| 18.60 | 4.771 | 275 |
| 25.02 | 3.559 | 337 |
| 28.21 | 3.163 | 1000 |
| 31.61 | 2.831 | 890 |
| 40.73 | 2.216 | 187 |
| 42.87 | 2.109 | 377 |
| 47.68 | 1.907 | 232 |
| 51.17 | 1.785 | 228 |
| 54.23 | 1.691 | 322 |
| 56.29 | 1.634 | 175 |
| 66.00 | 1.416 | 208 |
| 67.88 | 1.381 | 180 |

Atomic structure:
a = 7.6359 Å, b = 7.6359 Å, c = 7.6359 Å
α = 43.52°, β = 43.52°, γ = 43.52°
Element x y z (fractional)
V: 0.0000 0.0000 0.0000
P: 0.1950 0.1950 0.1950
Pb: 0.3830 0.3830 0.3830
Pb: 0.5927 0.5927 0.5927
Pb: 0.8038 0.8038 0.8038
O: 0.2705 0.2705 0.2705
O: 0.3205 0.3205 0.8688
O: 0.3205 0.8688 0.3205
O: 0.3626 0.8622 0.8622
O: 0.8622 0.3626 0.8622
O: 0.8622 0.8622 0.3626
O: 0.8688 0.3205 0.3205
O: 0.9165 0.9165 0.9165

=====

(7)
# LiV2P3O12
Calculated X-ray powder pattern, copper Kα. Input: DFT lattice parameters and positions (GGA+U).
Neutral-atom scattering factors, no anomalous dispersion.

Principal peaks in the range 2θ = 15–90°, sorted by position:
| 2theta | d [Å] | intensity |
| --- | --- | --- |
| 20.68 | 4.295 | 259 |
| 20.84 | 4.263 | 401 |
| 24.38 | 3.651 | 1000 |
| 29.53 | 3.025 | 291 |
| 32.13 | 2.786 | 164 |
| 33.21 | 2.698 | 251 |
| 36.27 | 2.477 | 256 |
| 47.63 | 1.909 | 159 |
| 49.96 | 1.826 | 97 |
| 54.90 | 1.672 | 75 |
| 56.73 | 1.623 | 175 |
| 56.98 | 1.616 | 76 |

Atomic structure:
a = 8.5258 Å, b = 8.5258 Å, c = 8.5258 Å
α = 60.49°, β = 60.49°, γ = 60.49°
Element x y z (fractional)
Li: 0.0000 0.0000 0.0000
Li: 0.5000 0.5000 0.5000
V: 0.1408 0.1408 0.1408
V: 0.3592 0.3592 0.3592
V: 0.6408 0.6408 0.6408
V: 0.8592 0.8592 0.8592
P: 0.0399 0.7500 0.4601
P: 0.2500 0.5399 0.9601
P: 0.4601 0.0399 0.7500
P: 0.5399 0.9601 0.2500
P: 0.7500 0.4601 0.0399
P: 0.9601 0.2500 0.5399
O: 0.0018 0.1916 0.3759
O: 0.0561 0.9151 0.2679
O: 0.0849 0.7321 0.9439
O: 0.1241 0.3084 0.4982
O: 0.1916 0.3759 0.0018
O: 0.2321 0.5849 0.4439
O: 0.2679 0.0561 0.9151
O: 0.3084 0.4982 0.1241
O: 0.3759 0.0018 0.1916
O: 0.4151 0.5561 0.7679
O: 0.4439 0.2321 0.5849
O: 0.4982 0.1241 0.3084
O: 0.5018 0.8759 0.6916
O: 0.5561 0.7679 0.4151
O: 0.5849 0.4439 0.2321
O: 0.6241 0.9982 0.8084
O: 0.6916 0.5018 0.8759
O: 0.7321 0.9439 0.0849
O: 0.7679 0.4151 0.5561
O: 0.8084 0.6240 0.9982
O: 0.8759 0.6916 0.5018
O: 0.9151 0.2679 0.0561
O: 0.9439 0.0849 0.7321
O: 0.9982 0.8084 0.6241

=====

(8)
# LiSm4Mo4O14
Calculated X-ray powder pattern, copper Kα. Input: DFT lattice parameters and positions (GGA+U).
Neutral-atom scattering factors, no anomalous dispersion.

Principal peaks in the range 2θ = 15–90°, sorted by position:
| 2theta | d [Å] | intensity |
| --- | --- | --- |
| 28.85 | 3.094 | 507 |
| 29.00 | 3.079 | 1000 |
| 29.37 | 3.041 | 501 |
| 33.68 | 2.661 | 649 |
| 48.03 | 1.894 | 335 |
| 48.22 | 1.887 | 168 |
| 48.51 | 1.877 | 160 |
| 48.71 | 1.869 | 310 |
| 57.19 | 1.611 | 289 |
| 57.43 | 1.605 | 279 |
| 57.85 | 1.594 | 200 |
| 70.81 | 1.331 | 136 |

Atomic structure:
a = 7.4774 Å, b = 7.4797 Å, c = 7.5074 Å
α = 60.74°, β = 60.75°, γ = 60.63°
Element x y z (fractional)
Li: 0.0000 0.0000 0.0000
Sm: 0.2732 0.7157 0.2577
Sm: 0.2748 0.7227 0.7380
Sm: 0.2914 0.2328 0.7396
Sm: 0.7601 0.7161 0.7613
Mo: 0.2587 0.2292 0.2477
Mo: 0.7599 0.2320 0.2530
Mo: 0.7602 0.7256 0.2521
Mo: 0.7650 0.2302 0.7415
O: 0.0879 0.1370 0.5821
O: 0.0993 0.5531 0.1561
O: 0.1091 0.1467 0.1469
O: 0.1286 0.6049 0.6283
O: 0.3643 0.8610 0.8835
O: 0.4129 0.3162 0.3500
O: 0.4222 0.8932 0.3436
O: 0.4354 0.3212 0.9037
O: 0.6655 0.5805 0.1552
O: 0.6736 0.5717 0.5812
O: 0.6799 0.1193 0.5996
O: 0.8504 0.3155 0.9063
O: 0.8615 0.8958 0.9255
O: 0.8714 0.8882 0.3089

=====

(9)
# Li4VP2O8
Calculated X-ray powder pattern, copper Kα. Input: DFT lattice parameters and positions (GGA+U).
Neutral-atom scattering factors, no anomalous dispersion.

Principal peaks in the range 2θ = 15–90°, sorted by position:
| 2theta | d [Å] | intensity |
| --- | --- | --- |
| 17.15 | 5.170 | 596 |
| 21.43 | 4.147 | 1000 |
| 24.02 | 3.704 | 542 |
| 26.90 | 3.315 | 171 |
| 27.20 | 3.278 | 180 |
| 31.97 | 2.800 | 316 |
| 32.94 | 2.719 | 283 |
| 35.48 | 2.530 | 261 |
| 36.73 | 2.447 | 355 |
| 37.52 | 2.397 | 235 |
| 49.40 | 1.845 | 140 |
| 59.65 | 1.550 | 160 |

Atomic structure:
a = 4.9723 Å, b = 5.2453 Å, c = 6.2349 Å
α = 94.23°, β = 93.90°, γ = 98.41°
Element x y z (fractional)
Li: 0.1471 0.3809 0.2943
Li: 0.3462 0.7076 0.9828
Li: 0.6538 0.2924 0.0172
Li: 0.8529 0.6191 0.7057
V: 0.5000 0.0000 0.5000
P: 0.1328 0.1815 0.7692
P: 0.8672 0.8185 0.2308
O: 0.1788 0.8064 0.2547
O: 0.2039 0.8991 0.7505
O: 0.2541 0.3239 0.9884
O: 0.2746 0.3140 0.5819
O: 0.7254 0.6860 0.4181
O: 0.7459 0.6761 0.0116
O: 0.7961 0.1009 0.2495
O: 0.8212 0.1936 0.7453